Calculated powder diffractogram
Compound: NdAl2GeOs2
Radiation: Cu Ka
Structure: a cell relaxed with PBE
No peak broadening, texture or thermal motion is included.

Peak list (10 most intense, 2θ = 15–90°, low angle first)
Position (°2θ), I_rel
15.42, 64
19.43, 23
31.14, 39
31.78, 100
36.97, 25
39.45, 59
42.60, 21
51.09, 39
57.02, 20
66.77, 24

Structural model:
a = 4.5682 Å, b = 4.5682 Å, c = 5.7446 Å
α = 90.00°, β = 90.00°, γ = 90.00°
Fractional coordinates of all 6 atoms:
Nd: 0.0000 0.0000 0.0000
Al: 0.5000 0.5000 0.2408
Al: 0.5000 0.5000 0.7592
Ge: 0.0000 0.0000 0.5000
Os: 0.0000 0.5000 0.5000
Os: 0.5000 0.0000 0.5000